# Sm3Mg2WS8
Theoretical PXRD pattern, Cu Kα. Input: a GGA-PBE-relaxed structure.

Crystal structure
a = 7.9438 Å, b = 7.9438 Å, c = 18.8259 Å
α = 90.00°, β = 90.00°, γ = 120.00°
Space group R-3m (No. 166, hexagonal axes)
Asymmetric unit:
Sm  0.0000  0.5000  0.0000 [9 per cell]
Mg  0.0000  0.0000  0.1259 [6 per cell]
W  0.0000  0.0000  0.5000 [3 per cell]
S  0.0000  0.0000  0.2537 [6 per cell]
S  0.0231  0.5116  0.2424 [18 per cell]

Main lines, low angle first (2θ from 10° to 80°):
2theta, I_rel, hkl
13.70, 100, 1 0 1
26.34, 21, 0 2 1
26.56, 53, 1 1 3
27.00, 28, 0 1 5
27.61, 25, 2 0 2
32.23, 90, 0 2 4
42.24, 22, 1 2 5
45.68, 42, 2 2 0
46.77, 38, 2 0 8
57.01, 17, 4 0 4